Record 1
Starting from a crystal structure in OQMD, relaxed with PBE, the X-ray diffraction stick pattern of Zr4BiSb was calculated for a wavelength of 1.5418 Å.
Peak positions follow from Bragg's law for the DFT cell and can differ from measured ones.

Main lines, in order of rising 2θ (10 to 90 degrees two-theta):
2θ/deg	d/Å	I (rel.)
22.03	4.035	36
30.30	2.950	33
32.32	2.770	70
33.39	2.683	33
37.81	2.379	100
43.38	2.086	56

Structure:
```
data_Zr4BiSb
_symmetry_space_group_name_H-M 'P 1'
_symmetry_Int_Tables_number 1
_cell_length_a 8.573
_cell_length_b 8.573
_cell_length_c 8.573
_cell_angle_alpha 151.83
_cell_angle_beta 151.83
_cell_angle_gamma 40.25
loop_
_symmetry_equiv_pos_as_xyz
'x,y,z'
loop_
_atom_site_label
_atom_site_type_symbol
_atom_site_fract_x
_atom_site_fract_y
_atom_site_fract_z
Zr1 Zr 0.000 0.000 0.000
Zr2 Zr 0.182 0.682 0.500
Zr3 Zr 0.353 0.353 0.000
Zr4 Zr 0.682 0.182 0.500
Bi1 Bi 0.540 0.540 0.000
Sb1 Sb 0.818 0.818 0.000
```

Record 2
Starting from a crystal structure in OQMD, relaxed with PBE, the X-ray diffraction stick pattern of Sm3BiSe2 was calculated for a wavelength of 1.5418 Å.
Peak positions follow from Bragg's law for the DFT cell and can differ from measured ones.

Main lines, in order of rising 2θ (10 to 90 degrees two-theta):
2θ/deg	d/Å	I (rel.)
29.40	3.038	100
41.97	2.153	37
42.16	2.144	33
52.07	1.756	21
69.01	1.361	18
69.28	1.356	13

Structure:
```
data_Sm3BiSe2
_symmetry_space_group_name_H-M 'P 1'
_symmetry_Int_Tables_number 1
_cell_length_a 4.305
_cell_length_b 4.305
_cell_length_c 10.479
_cell_angle_alpha 90.00
_cell_angle_beta 90.00
_cell_angle_gamma 120.00
loop_
_symmetry_equiv_pos_as_xyz
'x,y,z'
loop_
_atom_site_label
_atom_site_type_symbol
_atom_site_fract_x
_atom_site_fract_y
_atom_site_fract_z
Sm1 Sm 0.000 0.000 0.000
Sm2 Sm 0.333 0.667 0.688
Sm3 Sm 0.667 0.333 0.312
Bi1 Bi 0.000 0.000 0.500
Se1 Se 0.333 0.667 0.157
Se2 Se 0.667 0.333 0.843
```

Record 3
Starting from a crystal structure in OQMD, relaxed with PBE, the X-ray diffraction stick pattern of Tm3BiSe2 was calculated for a wavelength of 1.5418 Å.
Peak positions follow from Bragg's law for the DFT cell and can differ from measured ones.

Main lines, in order of rising 2θ (10 to 90 degrees two-theta):
2θ/deg	d/Å	I (rel.)
30.47	2.934	100
43.39	2.086	38
43.86	2.064	32
53.94	1.700	20
71.61	1.318	18
72.30	1.307	12

Structure:
```
data_Tm3BiSe2
_symmetry_space_group_name_H-M 'P 1'
_symmetry_Int_Tables_number 1
_cell_length_a 4.171
_cell_length_b 4.171
_cell_length_c 10.061
_cell_angle_alpha 90.00
_cell_angle_beta 90.00
_cell_angle_gamma 120.00
loop_
_symmetry_equiv_pos_as_xyz
'x,y,z'
loop_
_atom_site_label
_atom_site_type_symbol
_atom_site_fract_x
_atom_site_fract_y
_atom_site_fract_z
Tm1 Tm 0.000 0.000 0.000
Tm2 Tm 0.333 0.667 0.311
Tm3 Tm 0.667 0.333 0.689
Bi1 Bi 0.000 0.000 0.500
Se1 Se 0.333 0.667 0.844
Se2 Se 0.667 0.333 0.156
```

Record 4
Starting from a crystal structure in OQMD, relaxed with PBE, the X-ray diffraction stick pattern of ZnBiSe was calculated for a wavelength of 1.5418 Å.
Peak positions follow from Bragg's law for the DFT cell and can differ from measured ones.

Main lines, in order of rising 2θ (10 to 90 degrees two-theta):
2θ/deg	d/Å	I (rel.)
17.04	5.204	74
25.24	3.529	40
30.85	2.898	100
35.45	2.532	50
37.36	2.407	52
44.19	2.049	38

Structure:
```
data_ZnBiSe
_symmetry_space_group_name_H-M 'P 1'
_symmetry_Int_Tables_number 1
_cell_length_a 10.805
_cell_length_b 10.805
_cell_length_c 10.805
_cell_angle_alpha 158.13
_cell_angle_beta 158.13
_cell_angle_gamma 31.12
loop_
_symmetry_equiv_pos_as_xyz
'x,y,z'
loop_
_atom_site_label
_atom_site_type_symbol
_atom_site_fract_x
_atom_site_fract_y
_atom_site_fract_z
Zn1 Zn 0.056 0.056 0.000
Zn2 Zn 0.944 0.944 0.000
Bi1 Bi 0.365 0.365 0.000
Bi2 Bi 0.635 0.635 0.000
Se1 Se 0.174 0.174 0.000
Se2 Se 0.826 0.826 0.000
```